Entry 1:
Structure and calculated powder diffractogram of Li2PuSn2O6 (a structure optimized by DFT (GGA-PBE); Cu Kα, 1.54184 Å).
Intensities are scaled so that the largest is 100.

Largest 10 diffraction maxima, low angle first, 2θ from 10° to 90°:
(1 0 1), 4.962 Å, rel. 100
(1 0 4), 3.173 Å, rel. 13
(1 1 0), 3.014 Å, rel. 58
(0 1 5), 2.726 Å, rel. 44
(0 2 1), 2.576 Å, rel. 18
(0 2 4), 2.185 Å, rel. 13
(2 0 5), 2.022 Å, rel. 22
(1 1 6), 1.996 Å, rel. 29
(2 1 1), 1.958 Å, rel. 14
(1 2 5), 1.679 Å, rel. 25

Structural model:
```
data_Li2PuSn2O6
_chemical_formula_sum 'Li6 Pu3 Sn6 O18'
_cell_length_a 6.0275
_cell_length_b 6.0275
_cell_length_c 15.9846
_cell_angle_alpha 90.00
_cell_angle_beta 90.00
_cell_angle_gamma 120.00
_space_group_name_H-M_alt 'R -3 m'
_space_group_IT_number 166
_space_group_name_Hall '-R 3 2"'
loop_
_atom_site_label
_atom_site_fract_x
_atom_site_fract_y
_atom_site_fract_z
Li1 0.0000 0.0000 0.0889
Pu1 0.0000 0.0000 0.5000
Sn1 0.0000 0.0000 0.3098
O1 0.0342 0.5171 0.2538
```

Entry 2:
Structure and calculated powder diffractogram of Pm3Ga3Ir2 (a structure optimized by DFT (GGA-PBE); Cu Kα, 1.54184 Å).
Intensities are scaled so that the largest is 100.

Largest 10 diffraction maxima, low angle first, 2θ from 10° to 90°:
(0 4 0), 3.806 Å, rel. 32
(1 3 1), 3.444 Å, rel. 35
(2 4 0), 2.753 Å, rel. 63
(1 1 2), 2.684 Å, rel. 88
(0 6 0), 2.536 Å, rel. 46
(2 4 1), 2.486 Å, rel. 100
(3 0 1), 2.415 Å, rel. 96
(1 3 2), 2.402 Å, rel. 99
(1 4 2), 2.216 Å, rel. 62
(1 7 2), 1.700 Å, rel. 39

Structural model:
```
data_Pm3Ga3Ir2
_chemical_formula_sum 'Pm12 Ga12 Ir8'
_cell_length_a 7.967
_cell_length_b 15.216
_cell_length_c 5.805
_cell_angle_alpha 90.00
_cell_angle_beta 90.00
_cell_angle_gamma 90.00
_space_group_name_H-M_alt 'P n m a'
_space_group_IT_number 62
loop_
_space_group_symop_operation_xyz
'x,y,z'
'-x,-y,-z'
'-x+1/2,-y,z+1/2'
'x+1/2,y,-z+1/2'
'x+1/2,-y+1/2,-z+1/2'
'-x+1/2,y+1/2,z+1/2'
'-x,y+1/2,-z'
'x,-y+1/2,z'
loop_
_atom_site_label
_atom_site_fract_x
_atom_site_fract_y
_atom_site_fract_z
Pm1 0.032 0.108 0.113
Pm2 0.163 0.250 0.627
Ga1 0.168 0.039 0.601
Ga2 0.177 0.750 0.617
Ir1 0.125 0.606 0.377
```

Entry 3:
Structure and calculated powder diffractogram of Hf2ZrPd3 (a structure optimized by DFT (GGA-PBE); Cu Kα, 1.54184 Å).
Intensities are scaled so that the largest is 100.

Largest 10 diffraction maxima, low angle first, 2θ from 10° to 90°:
(1 3 1), 2.371 Å, rel. 100
(0 6 0), 2.360 Å, rel. 24
(2 0 0), 2.305 Å, rel. 23
(0 0 2), 1.705 Å, rel. 9
(2 6 0), 1.649 Å, rel. 16
(0 6 2), 1.382 Å, rel. 9
(2 0 2), 1.371 Å, rel. 9
(1 9 1), 1.364 Å, rel. 15
(3 3 1), 1.343 Å, rel. 16
(2 6 2), 1.185 Å, rel. 10

Structural model:
```
data_Hf2ZrPd3
_chemical_formula_sum 'Hf4 Zr2 Pd6'
_cell_length_a 4.611
_cell_length_b 14.157
_cell_length_c 3.411
_cell_angle_alpha 90.00
_cell_angle_beta 90.00
_cell_angle_gamma 90.00
_space_group_name_H-M_alt 'P m m n'
_space_group_IT_number 59
loop_
_space_group_symop_operation_xyz
'x,y,z'
'-x,-y,-z'
'-x+1/2,-y+1/2,z'
'x+1/2,y+1/2,-z'
'x+1/2,-y,-z'
'-x+1/2,y,z'
'-x,y+1/2,-z'
'x,-y+1/2,z'
loop_
_atom_site_label
_atom_site_fract_x
_atom_site_fract_y
_atom_site_fract_z
Hf1 0.250 0.087 0.000
Zr1 0.250 0.750 0.001
Pd1 0.250 0.250 0.499
Pd2 0.250 0.572 0.500
```

Entry 4:
Structure and calculated powder diffractogram of RbNa5Tl (a structure optimized by DFT (GGA-PBE); Cu Kα, 1.54184 Å).
Intensities are scaled so that the largest is 100.

Largest 10 diffraction maxima, low angle first, 2θ from 10° to 90°:
(0 0 2), 7.173 Å, rel. 52
(2 0 0), 5.832 Å, rel. 98
(1 1 -1), 5.524 Å, rel. 98
(1 1 1), 5.121 Å, rel. 100
(0 0 4), 3.586 Å, rel. 49
(2 0 -4), 3.412 Å, rel. 62
(0 2 2), 2.983 Å, rel. 64
(2 0 4), 2.788 Å, rel. 40
(2 2 -2), 2.762 Å, rel. 52
(4 0 -4), 2.561 Å, rel. 89

Structural model:
```
data_RbNa5Tl
_chemical_formula_sum 'Rb4 Na20 Tl4'
_cell_length_a 11.971
_cell_length_b 6.559
_cell_length_c 14.722
_cell_angle_alpha 90.00
_cell_angle_beta 102.99
_cell_angle_gamma 90.00
_space_group_name_H-M_alt 'C 1 2/c 1'
_space_group_IT_number 15
loop_
_space_group_symop_operation_xyz
'x,y,z'
'-x,-y,-z'
'-x,y,-z+1/2'
'x,-y,z+1/2'
'x+1/2,y+1/2,z'
'-x+1/2,-y+1/2,-z'
'-x+1/2,y+1/2,-z+1/2'
'x+1/2,-y+1/2,z+1/2'
loop_
_atom_site_label
_atom_site_fract_x
_atom_site_fract_y
_atom_site_fract_z
Rb1 0.000 0.000 0.000
Na1 0.000 0.242 0.250
Na2 0.164 0.477 0.928
Na3 0.229 0.491 0.686
Tl1 0.000 0.252 0.750
```

Entry 5:
Structure and calculated powder diffractogram of BaY2Sc (a structure optimized by DFT (GGA-PBE); Cu Kα, 1.54184 Å).
Intensities are scaled so that the largest is 100.

Largest 10 diffraction maxima, low angle first, 2θ from 10° to 90°:
(0 0 9), 3.974 Å, rel. 15
(1 0 4), 2.981 Å, rel. 100
(0 1 5), 2.892 Å, rel. 12
(0 1 8), 2.582 Å, rel. 48
(1 0 13), 2.076 Å, rel. 11
(1 1 0), 1.826 Å, rel. 30
(0 2 4), 1.557 Å, rel. 32
(2 0 8), 1.491 Å, rel. 9
(2 1 4), 1.185 Å, rel. 11
(1 2 8), 1.155 Å, rel. 10

Structural model:
```
data_BaY2Sc
_chemical_formula_sum 'Ba3 Y6 Sc3'
_cell_length_a 3.6512
_cell_length_b 3.6512
_cell_length_c 35.7703
_cell_angle_alpha 90.00
_cell_angle_beta 90.00
_cell_angle_gamma 120.00
_space_group_name_H-M_alt 'R -3 m'
_space_group_IT_number 166
_space_group_name_Hall '-R 3 2"'
loop_
_atom_site_label
_atom_site_fract_x
_atom_site_fract_y
_atom_site_fract_z
Ba1 0.0000 0.0000 0.0000
Y1 0.0000 0.0000 0.2399
Sc1 0.0000 0.0000 0.5000
```

Entry 6:
Structure and calculated powder diffractogram of OsRu2 (a structure optimized by DFT (GGA-PBE); Cu Kα, 1.54184 Å).
Intensities are scaled so that the largest is 100.

Largest 10 diffraction maxima, low angle first, 2θ from 10° to 90°:
(0 1 1), 3.826 Å, rel. 7
(1 0 2), 3.100 Å, rel. 3
(2 0 0), 2.368 Å, rel. 25
(0 2 0), 2.163 Å, rel. 25
(1 1 3), 2.077 Å, rel. 100
(2 2 0), 1.597 Å, rel. 14
(0 0 6), 1.367 Å, rel. 17
(1 3 3), 1.231 Å, rel. 18
(0 2 6), 1.156 Å, rel. 20
(4 1 0), 1.142 Å, rel. 15

Structural model:
```
data_OsRu2
_chemical_formula_sum 'Os4 Ru8'
_cell_length_a 4.735
_cell_length_b 4.325
_cell_length_c 8.202
_cell_angle_alpha 90.00
_cell_angle_beta 90.00
_cell_angle_gamma 90.00
_space_group_name_H-M_alt 'P n m a'
_space_group_IT_number 62
loop_
_space_group_symop_operation_xyz
'x,y,z'
'-x,-y,-z'
'-x+1/2,-y,z+1/2'
'x+1/2,y,-z+1/2'
'x+1/2,-y+1/2,-z+1/2'
'-x+1/2,y+1/2,z+1/2'
'-x,y+1/2,-z'
'x,-y+1/2,z'
loop_
_atom_site_label
_atom_site_fract_x
_atom_site_fract_y
_atom_site_fract_z
Os1 0.170 0.250 0.167
Ru1 0.164 0.250 0.834
Ru2 0.168 0.250 0.500
```

Entry 7:
Structure and calculated powder diffractogram of La8PmEr2 (a structure optimized by DFT (GGA-PBE); Cu Kα, 1.54184 Å).
Intensities are scaled so that the largest is 100.

Largest 10 diffraction maxima, low angle first, 2θ from 10° to 90°:
(0 1 2), 3.048 Å, rel. 40
(1 -2 2), 2.954 Å, rel. 100
(1 2 -1), 2.925 Å, rel. 57
(2 0 1), 2.866 Å, rel. 54
(1 1 -3), 2.818 Å, rel. 45
(0 0 3), 2.784 Å, rel. 13
(-1 2 1), 2.739 Å, rel. 12
(1 -3 0), 2.203 Å, rel. 15
(3 1 -2), 1.976 Å, rel. 14
(3 2 0), 1.661 Å, rel. 13

Structural model:
```
data_La8PmEr2
_chemical_formula_sum 'La8 Pm1 Er2'
_cell_length_a 6.678
_cell_length_b 7.107
_cell_length_c 9.034
_cell_angle_alpha 110.15
_cell_angle_beta 96.39
_cell_angle_gamma 98.45
_space_group_name_H-M_alt 'P -1'
_space_group_IT_number 2
loop_
_space_group_symop_operation_xyz
'x,y,z'
'-x,-y,-z'
loop_
_atom_site_label
_atom_site_fract_x
_atom_site_fract_y
_atom_site_fract_z
La1 0.016 0.125 0.358
La2 0.096 0.574 0.285
La3 0.244 0.876 0.044
La4 0.423 0.595 0.677
Pm1 0.500 0.000 0.500
Er1 0.297 0.310 0.923
```

Entry 8:
Structure and calculated powder diffractogram of Y4Se5S (a structure optimized by DFT (GGA-PBE); Cu Kα, 1.54184 Å).
Intensities are scaled so that the largest is 100.

Largest 10 diffraction maxima, low angle first, 2θ from 10° to 90°:
(2 0 1), 5.166 Å, rel. 23
(4 0 -1), 4.284 Å, rel. 11
(1 1 -2), 2.891 Å, rel. 100
(6 0 0), 2.862 Å, rel. 49
(7 1 -2), 2.062 Å, rel. 37
(2 0 -4), 2.049 Å, rel. 16
(0 2 0), 2.040 Å, rel. 19
(5 1 2), 2.007 Å, rel. 34
(6 2 0), 1.661 Å, rel. 18
(13 1 -2), 1.296 Å, rel. 12

Structural model:
```
data_Y4Se5S
_chemical_formula_sum 'Y8 Se10 S2'
_cell_length_a 17.820
_cell_length_b 4.080
_cell_length_c 8.201
_cell_angle_alpha 90.00
_cell_angle_beta 105.53
_cell_angle_gamma 90.00
_space_group_name_H-M_alt 'C 1 2/m 1'
_space_group_IT_number 12
loop_
_space_group_symop_operation_xyz
'x,y,z'
'-x,-y,-z'
'-x,y,-z'
'x,-y,z'
'x+1/2,y+1/2,z'
'-x+1/2,-y+1/2,-z'
'-x+1/2,y+1/2,-z'
'x+1/2,-y+1/2,z'
loop_
_atom_site_label
_atom_site_fract_x
_atom_site_fract_y
_atom_site_fract_z
Y1 0.003 0.000 0.256
Y2 0.176 0.500 0.114
Se1 0.000 0.500 0.500
Se2 0.162 0.000 0.336
Se3 0.162 0.000 0.856
S1 0.000 0.500 0.000
```

Entry 9:
Structure and calculated powder diffractogram of Nb3H (a structure optimized by DFT (GGA-PBE); Cu Kα, 1.54184 Å).
Intensities are scaled so that the largest is 100.

Largest 10 diffraction maxima, low angle first, 2θ from 10° to 90°:
(1 1 0), 2.613 Å, rel. 31
(0 0 2), 2.480 Å, rel. 100
(1 2 1), 2.096 Å, rel. 44
(1 1 2), 1.800 Å, rel. 20
(1 4 1), 1.600 Å, rel. 10
(1 5 0), 1.455 Å, rel. 8
(0 3 3), 1.433 Å, rel. 11
(1 2 3), 1.346 Å, rel. 10
(1 5 2), 1.256 Å, rel. 10
(2 0 2), 1.200 Å, rel. 19

Structural model:
```
data_Nb3H
_chemical_formula_sum 'Nb6 H2'
_cell_length_a 2.743
_cell_length_b 8.584
_cell_length_c 4.966
_cell_angle_alpha 90.00
_cell_angle_beta 90.00
_cell_angle_gamma 90.00
_space_group_name_H-M_alt 'I m m 2'
_space_group_IT_number 44
loop_
_space_group_symop_operation_xyz
'x,y,z'
'-x,-y,z'
'-x,y,z'
'x,-y,z'
'x+1/2,y+1/2,z+1/2'
'-x+1/2,-y+1/2,z+1/2'
'-x+1/2,y+1/2,z+1/2'
'x+1/2,-y+1/2,z+1/2'
loop_
_atom_site_label
_atom_site_fract_x
_atom_site_fract_y
_atom_site_fract_z
Nb1 0.000 0.000 0.000
Nb2 0.000 0.176 0.494
H1 0.000 0.500 0.166
```

Entry 10:
Structure and calculated powder diffractogram of LiAcPtO5 (a structure optimized by DFT (GGA-PBE); Cu Kα, 1.54184 Å).
Intensities are scaled so that the largest is 100.

Largest 10 diffraction maxima, low angle first, 2θ from 10° to 90°:
(1 1 -1), 4.686 Å, rel. 63
(0 2 1), 3.936 Å, rel. 61
(1 1 1), 3.730 Å, rel. 33
(1 1 -2), 3.224 Å, rel. 100
(2 0 0), 3.065 Å, rel. 70
(1 3 0), 2.840 Å, rel. 90
(0 2 2), 2.791 Å, rel. 41
(1 1 2), 2.592 Å, rel. 42
(0 4 2), 1.968 Å, rel. 36
(2 4 -2), 1.791 Å, rel. 31

Structural model:
```
data_LiAcPtO5
_chemical_formula_sum 'Li4 Ac4 Pt4 O20'
_cell_length_a 6.379
_cell_length_b 9.612
_cell_length_c 7.135
_cell_angle_alpha 90.00
_cell_angle_beta 106.06
_cell_angle_gamma 90.00
_space_group_name_H-M_alt 'C 1 2/c 1'
_space_group_IT_number 15
loop_
_space_group_symop_operation_xyz
'x,y,z'
'-x,-y,-z'
'-x,y,-z+1/2'
'x,-y,z+1/2'
'x+1/2,y+1/2,z'
'-x+1/2,-y+1/2,-z'
'-x+1/2,y+1/2,-z+1/2'
'x+1/2,-y+1/2,z+1/2'
loop_
_atom_site_label
_atom_site_fract_x
_atom_site_fract_y
_atom_site_fract_z
Li1 0.000 0.185 0.250
Ac1 0.000 0.146 0.750
Pt1 0.000 0.500 0.000
O1 0.000 0.415 0.750
O2 0.105 0.313 0.096
O3 0.190 0.060 0.457
```

Entry 11:
Structure and calculated powder diffractogram of La5Dy2Er (a structure optimized by DFT (GGA-PBE); Cu Kα, 1.54184 Å).
Intensities are scaled so that the largest is 100.

Largest 10 diffraction maxima, low angle first, 2θ from 10° to 90°:
(1 1 4), 3.223 Å, rel. 39
(1 3 2), 3.061 Å, rel. 11
(0 4 1), 2.985 Å, rel. 10
(0 4 2), 2.849 Å, rel. 21
(2 0 0), 2.838 Å, rel. 47
(1 3 3), 2.828 Å, rel. 100
(1 1 5), 2.781 Å, rel. 52
(2 4 2), 2.011 Å, rel. 15
(3 3 3), 1.637 Å, rel. 20
(3 1 5), 1.627 Å, rel. 11

Structural model:
```
data_La5Dy2Er
_chemical_formula_sum 'La20 Dy8 Er4'
_cell_length_a 5.676
_cell_length_b 12.140
_cell_length_c 16.535
_cell_angle_alpha 90.00
_cell_angle_beta 90.00
_cell_angle_gamma 90.00
_space_group_name_H-M_alt 'C m c m'
_space_group_IT_number 63
_space_group_name_Hall '-C 2c 2'
loop_
_atom_site_label
_atom_site_fract_x
_atom_site_fract_y
_atom_site_fract_z
La1 0.000 0.032 0.250
La2 0.000 0.114 0.553
La3 0.000 0.423 0.594
Dy1 0.000 0.274 0.136
Er1 0.000 0.248 0.750
```

Entry 12:
Structure and calculated powder diffractogram of BaMn3I8 (a structure optimized by DFT (GGA-PBE); Cu Kα, 1.54184 Å).
Intensities are scaled so that the largest is 100.

Largest 10 diffraction maxima, low angle first, 2θ from 10° to 90°:
(0 0 1), 7.654 Å, rel. 64
(0 0 2), 3.827 Å, rel. 22
(4 0 -2), 3.653 Å, rel. 19
(2 2 0), 3.631 Å, rel. 39
(2 2 -2), 3.199 Å, rel. 100
(4 0 0), 3.171 Å, rel. 50
(2 2 -3), 2.501 Å, rel. 18
(2 2 2), 2.291 Å, rel. 35
(0 4 0), 2.215 Å, rel. 48
(8 0 -4), 1.828 Å, rel. 18

Structural model:
```
data_BaMn3I8
_chemical_formula_sum 'Ba2 Mn6 I16'
_cell_length_a 15.347
_cell_length_b 8.858
_cell_length_c 9.262
_cell_angle_alpha 90.00
_cell_angle_beta 124.27
_cell_angle_gamma 90.00
_space_group_name_H-M_alt 'C 1 2/m 1'
_space_group_IT_number 12
loop_
_space_group_symop_operation_xyz
'x,y,z'
'-x,-y,-z'
'-x,y,-z'
'x,-y,z'
'x+1/2,y+1/2,z'
'-x+1/2,-y+1/2,-z'
'-x+1/2,y+1/2,-z'
'x+1/2,-y+1/2,z'
loop_
_atom_site_label
_atom_site_fract_x
_atom_site_fract_y
_atom_site_fract_z
Ba1 0.000 0.000 0.000
Mn1 0.000 0.500 0.000
Mn2 0.250 0.250 0.000
I1 0.017 0.280 0.776
I2 0.237 0.500 0.776
I3 0.238 0.500 0.210
```

Entry 13:
Structure and calculated powder diffractogram of AcPr8Ho5 (a structure optimized by DFT (GGA-PBE); Cu Kα, 1.54184 Å).
Intensities are scaled so that the largest is 100.

Largest 10 diffraction maxima, low angle first, 2θ from 10° to 90°:
(1 -2 2), 3.528 Å, rel. 19
(-1 1 2), 3.110 Å, rel. 20
(-2 2 1), 3.089 Å, rel. 24
(1 1 1), 2.886 Å, rel. 68
(2 -2 2), 2.873 Å, rel. 100
(1 -3 1), 2.865 Å, rel. 60
(0 2 -3), 2.803 Å, rel. 23
(3 -1 0), 2.786 Å, rel. 24
(1 0 -3), 2.690 Å, rel. 29
(-3 2 1), 2.662 Å, rel. 26

Structural model:
```
data_AcPr8Ho5
_chemical_formula_sum 'Ac1 Pr8 Ho5'
_cell_length_a 8.699
_cell_length_b 8.754
_cell_length_c 8.785
_cell_angle_alpha 113.17
_cell_angle_beta 97.82
_cell_angle_gamma 117.43
_space_group_name_H-M_alt 'P 1'
_space_group_IT_number 1
loop_
_space_group_symop_operation_xyz
'x,y,z'
loop_
_atom_site_label
_atom_site_fract_x
_atom_site_fract_y
_atom_site_fract_z
Ac1 0.000 0.000 0.000
Pr1 0.328 0.028 0.704
Pr2 0.374 0.272 0.379
Pr3 0.508 0.713 0.772
Pr4 0.539 0.938 0.404
Pr5 0.644 0.212 0.160
Pr6 0.798 0.733 0.527
Pr7 0.908 0.286 0.908
Pr8 0.948 0.729 0.213
Ho1 0.065 0.228 0.583
Ho2 0.137 0.514 0.380
Ho3 0.209 0.733 0.944
Ho4 0.418 0.476 0.051
Ho5 0.726 0.458 0.739
```